(1)
Diffraction record for Th3ReCl3. The X-ray powder pattern is theoretical, not measured: it uses DFT lattice parameters and positions (PBE) and Cu Kα.
No peak broadening, texture or thermal motion is included.

Most intense lines, 2θ from 10° to 90°, most intense first:
2θ = 29.93°, intensity 100.0; 2θ = 30.34°, intensity 59.1; 2θ = 42.36°, intensity 45.1; 2θ = 30.64°, intensity 32.8; 2θ = 37.46°, intensity 30.1; 2θ = 12.03°, intensity 27.4; 2θ = 27.04°, intensity 25.7; 2θ = 43.90°, intensity 23.4

Atomic structure:
Unit cell a=9.0443 b=3.9797 c=11.8001 alpha=90.00 beta=92.95 gamma=90.00
Fractional coordinates of all 14 atoms:
Th 0.0688 0.2500 0.1217
Th 0.1044 0.2500 0.6147
Th 0.3190 0.7500 0.3565
Th 0.6810 0.2500 0.6435
Th 0.8956 0.7500 0.3853
Th 0.9312 0.7500 0.8783
Re 0.1096 0.2500 0.3578
Re 0.8904 0.7500 0.6422
Cl 0.1817 0.2500 0.8736
Cl 0.3186 0.7500 0.1160
Cl 0.3978 0.7500 0.6093
Cl 0.6022 0.2500 0.3907
Cl 0.6814 0.2500 0.8840
Cl 0.8183 0.7500 0.1264

(2)
Diffraction record for Yb2Ga9Co3. The X-ray powder pattern is theoretical, not measured: it uses DFT lattice parameters and positions (PBE) and Cu Kα.
No peak broadening, texture or thermal motion is included.

Most intense lines, 2θ from 10° to 90°, most intense first:
2θ = 37.46°, intensity 100.0; 2θ = 42.61°, intensity 67.4; 2θ = 37.36°, intensity 57.6; 2θ = 42.86°, intensity 33.1; 2θ = 58.17°, intensity 29.3; 2θ = 37.72°, intensity 26.8; 2θ = 74.63°, intensity 22.3; 2θ = 38.70°, intensity 22.2

Atomic structure:
Unit cell a=7.3233 b=7.3233 c=9.5390 alpha=90.00 beta=90.00 gamma=60.36
Fractional coordinates of all 28 atoms:
Yb 0.0021 0.6688 0.7500
Yb 0.3312 0.9979 0.7500
Yb 0.6688 0.0021 0.2500
Yb 0.9979 0.3312 0.2500
Ga 0.0016 0.6656 0.0694
Ga 0.0016 0.6656 0.4306
Ga 0.1206 0.8794 0.2500
Ga 0.3344 0.9984 0.0694
Ga 0.3344 0.9984 0.4306
Ga 0.3353 0.4486 0.2500
Ga 0.3346 0.6654 0.5582
Ga 0.3346 0.6654 0.9418
Ga 0.4486 0.3353 0.7500
Ga 0.5514 0.6647 0.2500
Ga 0.6654 0.3346 0.0582
Ga 0.6654 0.3346 0.4418
Ga 0.6647 0.5514 0.7500
Ga 0.6656 0.0016 0.5694
Ga 0.6656 0.0016 0.9306
Ga 0.8794 0.1206 0.7500
Ga 0.9984 0.3344 0.5694
Ga 0.9984 0.3344 0.9306
Co 0.0000 0.0000 0.0000
Co 0.0000 0.0000 0.5000
Co 0.3293 0.3293 0.0000
Co 0.3293 0.3293 0.5000
Co 0.6707 0.6707 0.0000
Co 0.6707 0.6707 0.5000

(3)
Diffraction record for Pm3Mg2Zn4. The X-ray powder pattern is theoretical, not measured: it uses DFT lattice parameters and positions (PBE) and Cu Kα.
No peak broadening, texture or thermal motion is included.

Most intense lines, 2θ from 10° to 90°, most intense first:
2θ = 37.32°, intensity 100.0; 2θ = 34.10°, intensity 88.4; 2θ = 33.60°, intensity 86.0; 2θ = 37.50°, intensity 56.4; 2θ = 21.36°, intensity 55.2; 2θ = 33.28°, intensity 42.5; 2θ = 34.28°, intensity 40.0; 2θ = 51.00°, intensity 25.2

Atomic structure:
Unit cell a=5.9900 b=5.9900 c=8.9480 alpha=116.12 beta=116.12 gamma=47.20
Fractional coordinates of all 9 atoms:
Pm 0.0000 0.0000 0.0000
Pm 0.3475 0.3475 0.3159
Pm 0.6525 0.6525 0.6841
Mg 0.3547 0.3547 0.6866
Mg 0.6453 0.6453 0.3134
Zn 0.0530 0.0530 0.3905
Zn 0.2612 0.2612 0.9313
Zn 0.7388 0.7388 0.0687
Zn 0.9470 0.9470 0.6095

(4)
Diffraction record for Pm2Pr2Pb7. The X-ray powder pattern is theoretical, not measured: it uses DFT lattice parameters and positions (PBE) and Cu Kα.
No peak broadening, texture or thermal motion is included.

Most intense lines, 2θ from 10° to 90°, most intense first:
2θ = 34.85°, intensity 100.0; 2θ = 31.49°, intensity 85.2; 2θ = 24.26°, intensity 59.0; 2θ = 22.22°, intensity 50.7; 2θ = 38.87°, intensity 40.2; 2θ = 27.52°, intensity 38.6; 2θ = 49.68°, intensity 36.8; 2θ = 35.58°, intensity 32.7

Atomic structure:
Unit cell a=7.4422 b=7.4422 c=7.2265 alpha=90.00 beta=90.00 gamma=99.60
Fractional coordinates of all 11 atoms:
Pm 0.2256 0.7744 0.0000
Pm 0.7744 0.2256 0.0000
Pr 0.3130 0.3130 0.5000
Pr 0.6870 0.6870 0.5000
Pb 0.0000 0.0000 0.2890
Pb 0.0000 0.0000 0.7110
Pb 0.0000 0.5000 0.2862
Pb 0.0000 0.5000 0.7138
Pb 0.5000 0.0000 0.2862
Pb 0.5000 0.0000 0.7138
Pb 0.5000 0.5000 0.0000

(5)
Diffraction record for KGa12Au7. The X-ray powder pattern is theoretical, not measured: it uses DFT lattice parameters and positions (PBE) and Cu Kα.
No peak broadening, texture or thermal motion is included.

Most intense lines, 2θ from 10° to 90°, most intense first:
2θ = 40.56°, intensity 100.0; 2θ = 19.18°, intensity 85.8; 2θ = 42.23°, intensity 68.9; 2θ = 30.91°, intensity 46.4; 2θ = 38.93°, intensity 45.0; 2θ = 74.93°, intensity 36.7; 2θ = 34.86°, intensity 34.6; 2θ = 59.98°, intensity 33.7

Atomic structure:
Unit cell a=8.1235 b=8.1235 c=8.1235 alpha=110.45 beta=110.45 gamma=110.45
Fractional coordinates of all 20 atoms:
K 0.0000 0.0000 0.0000
Ga 0.0000 0.2573 0.7427
Ga 0.0000 0.7427 0.2573
Ga 0.1321 0.4676 0.4676
Ga 0.2573 0.0000 0.7427
Ga 0.2573 0.7427 0.0000
Ga 0.4676 0.1321 0.4676
Ga 0.4676 0.4676 0.1321
Ga 0.5324 0.5324 0.8679
Ga 0.5324 0.8679 0.5324
Ga 0.7427 0.0000 0.2573
Ga 0.7427 0.2573 0.0000
Ga 0.8679 0.5324 0.5324
Au 0.1740 0.1740 0.5144
Au 0.1740 0.5144 0.1740
Au 0.4856 0.8260 0.8260
Au 0.5000 0.5000 0.5000
Au 0.5144 0.1740 0.1740
Au 0.8260 0.4856 0.8260
Au 0.8260 0.8260 0.4856

(6)
Diffraction record for Ho2ThGa2. The X-ray powder pattern is theoretical, not measured: it uses DFT lattice parameters and positions (PBE) and Cu Kα.
No peak broadening, texture or thermal motion is included.

Most intense lines, 2θ from 10° to 90°, most intense first:
2θ = 31.48°, intensity 100.0; 2θ = 30.61°, intensity 95.4; 2θ = 32.93°, intensity 64.9; 2θ = 37.16°, intensity 48.5; 2θ = 29.88°, intensity 47.6; 2θ = 33.22°, intensity 41.5; 2θ = 35.29°, intensity 33.4; 2θ = 46.86°, intensity 31.9

Atomic structure:
Unit cell a=5.4595 b=3.8777 c=12.6792 alpha=90.00 beta=98.88 gamma=90.00
Fractional coordinates of all 10 atoms:
Ho 0.1618 0.2500 0.1093
Ho 0.2620 0.7500 0.5345
Ho 0.7380 0.2500 0.4655
Ho 0.8382 0.7500 0.8907
Th 0.2994 0.2500 0.7695
Th 0.7006 0.7500 0.2305
Ga 0.1999 0.2500 0.3414
Ga 0.3548 0.7500 0.9670
Ga 0.6452 0.2500 0.0330
Ga 0.8001 0.7500 0.6586

(7)
Diffraction record for Sc2Mn3Ru. The X-ray powder pattern is theoretical, not measured: it uses DFT lattice parameters and positions (PBE) and Cu Kα.
No peak broadening, texture or thermal motion is included.

Most intense lines, 2θ from 10° to 90°, most intense first:
2θ = 43.90°, intensity 100.0; 2θ = 40.48°, intensity 87.5; 2θ = 21.55°, intensity 85.5; 2θ = 41.04°, intensity 82.3; 2θ = 42.24°, intensity 74.2; 2θ = 42.79°, intensity 73.7; 2θ = 42.06°, intensity 56.6; 2θ = 45.42°, intensity 46.7

Atomic structure:
Unit cell a=4.9005 b=4.9005 c=5.1596 alpha=118.17 beta=118.17 gamma=62.99
Fractional coordinates of all 6 atoms:
Sc 0.1259 0.1259 0.3733
Sc 0.8741 0.8741 0.6267
Mn 0.0000 0.5000 0.0000
Mn 0.5000 0.0000 0.0000
Mn 0.5000 0.5000 0.0000
Ru 0.5000 0.5000 0.5000

(8)
Diffraction record for Al4Hg. The X-ray powder pattern is theoretical, not measured: it uses DFT lattice parameters and positions (PBE) and Cu Kα.
No peak broadening, texture or thermal motion is included.

Most intense lines, 2θ from 10° to 90°, most intense first:
2θ = 34.70°, intensity 100.0; 2θ = 30.82°, intensity 92.4; 2θ = 23.28°, intensity 90.2; 2θ = 14.05°, intensity 70.3; 2θ = 42.34°, intensity 51.8; 2θ = 31.56°, intensity 35.6; 2θ = 55.74°, intensity 35.4; 2θ = 45.24°, intensity 31.4

Atomic structure:
Unit cell a=6.9132 b=6.9132 c=6.9132 alpha=146.29 beta=146.29 gamma=48.41
Fractional coordinates of all 5 atoms:
Al 0.1042 0.1042 0.0000
Al 0.2500 0.7500 0.5000
Al 0.7500 0.2500 0.5000
Al 0.8958 0.8958 0.0000
Hg 0.5000 0.5000 0.0000

(9)
Diffraction record for La2ZnOs. The X-ray powder pattern is theoretical, not measured: it uses DFT lattice parameters and positions (PBE) and Cu Kα.
No peak broadening, texture or thermal motion is included.

Most intense lines, 2θ from 10° to 90°, most intense first:
2θ = 33.87°, intensity 100.0; 2θ = 34.15°, intensity 97.8; 2θ = 35.49°, intensity 92.5; 2θ = 11.35°, intensity 57.9; 2θ = 62.53°, intensity 33.8; 2θ = 59.91°, intensity 33.3; 2θ = 63.05°, intensity 33.0; 2θ = 46.59°, intensity 17.7

Atomic structure:
Unit cell a=3.5508 b=3.6033 c=7.7978 alpha=90.00 beta=90.00 gamma=90.00
Fractional coordinates of all 4 atoms:
La 0.0000 0.0000 0.2258
La 0.0000 0.0000 0.7742
Zn 0.5000 0.5000 0.5000
Os 0.5000 0.5000 0.0000

(10)
Diffraction record for Y2Cd. The X-ray powder pattern is theoretical, not measured: it uses DFT lattice parameters and positions (PBE) and Cu Kα.
No peak broadening, texture or thermal motion is included.

Most intense lines, 2θ from 10° to 90°, most intense first:
2θ = 31.90°, intensity 100.0; 2θ = 29.08°, intensity 80.9; 2θ = 39.27°, intensity 39.4; 2θ = 61.62°, intensity 38.5; 2θ = 39.14°, intensity 37.8; 2θ = 37.36°, intensity 35.4; 2θ = 34.36°, intensity 34.2; 2θ = 55.22°, intensity 26.8

Atomic structure:
Unit cell a=7.9729 b=7.9729 c=4.8137 alpha=90.00 beta=90.00 gamma=120.00
Fractional coordinates of all 9 atoms:
Y 0.0000 0.2561 0.0000
Y 0.0000 0.5890 0.5000
Y 0.2561 0.0000 0.0000
Y 0.4110 0.4110 0.5000
Y 0.5890 0.0000 0.5000
Y 0.7439 0.7439 0.0000
Cd 0.0000 0.0000 0.5000
Cd 0.3333 0.6667 0.0000
Cd 0.6667 0.3333 0.0000